For NdErMo2C3, a cell relaxed with PBE gives the simulated X-ray powder pattern in this record (λ = 1.5418 Å (Cu Kα)).

The 8 most intense peaks (2θ = 10–90°), low angle first:
2θ/deg, I_rel
26.11, 16.5
31.79, 47.3
32.92, 40.9
33.06, 100.0
36.52, 84.6
40.69, 23.2
53.54, 16.3
55.08, 16.4

Crystal structure
a b c (Å): 11.3720 3.4231 5.7726
angles (deg): 90.00 106.86 90.00
Fractional positions:
Nd 0.0000 0.0000 0.0000
Nd 0.5000 0.5000 0.0000
Er 0.2755 0.5000 0.3542
Er 0.7755 0.0000 0.3542
Mo 0.0408 0.5000 0.5526
Mo 0.2379 0.0000 0.7939
Mo 0.5408 0.0000 0.5526
Mo 0.7379 0.5000 0.7939
C 0.1196 0.0000 0.4392
C 0.1660 0.5000 0.9141
C 0.3866 0.0000 0.6616
C 0.6196 0.5000 0.4392
C 0.6660 0.0000 0.9141
C 0.8866 0.5000 0.6616


For In2Te4Pd, a cell relaxed with PBE gives the simulated X-ray powder pattern in this record (λ = 1.5418 Å (Cu Kα)).

The 8 most intense peaks (2θ = 10–90°), low angle first:
2θ/deg, I_rel
25.02, 100.0
25.84, 9.3
33.54, 16.8
41.27, 46.6
41.78, 20.2
48.41, 15.1
49.32, 24.3
65.83, 9.4

Crystal structure
a b c (Å): 6.1153 6.1153 12.5268
angles (deg): 90.00 90.00 90.00
Fractional positions:
In 0.0000 0.0000 0.0000
In 0.0000 0.5000 0.2500
In 0.5000 0.0000 0.7500
In 0.5000 0.5000 0.5000
Te 0.1993 0.7329 0.6341
Te 0.2329 0.3007 0.8659
Te 0.2671 0.1993 0.3659
Te 0.3007 0.7671 0.1341
Te 0.6993 0.2329 0.1341
Te 0.7329 0.8007 0.3659
Te 0.7671 0.6993 0.8659
Te 0.8007 0.2671 0.6341
Pd 0.0000 0.0000 0.5000
Pd 0.5000 0.5000 0.0000


For GdY2Ga3Ni3, a cell relaxed with PBE gives the simulated X-ray powder pattern in this record (λ = 1.5418 Å (Cu Kα)).

The 8 most intense peaks (2θ = 10–90°), low angle first:
2θ/deg, I_rel
34.85, 100.0
37.92, 92.3
38.96, 39.5
46.08, 16.2
48.33, 24.4
59.79, 15.4
63.74, 18.1
71.94, 15.2

Crystal structure
a b c (Å): 3.7661 7.0486 7.0486
angles (deg): 119.78 90.00 90.00
Fractional positions:
Gd 0.0000 0.0000 0.0000
Y 0.0000 0.1759 0.5873
Y 0.0000 0.5873 0.1759
Ga 0.5000 0.3434 0.3434
Ga 0.5000 0.5857 0.8328
Ga 0.5000 0.8328 0.5857
Ni 0.0000 0.5882 0.5882
Ni 0.5000 0.2531 0.9208
Ni 0.5000 0.9208 0.2531


For Ho2Er3Tm3Te, a cell relaxed with PBE gives the simulated X-ray powder pattern in this record (λ = 1.5418 Å (Cu Kα)).

The 8 most intense peaks (2θ = 10–90°), low angle first:
2θ/deg, I_rel
29.96, 38.8
30.96, 100.0
33.02, 54.5
34.09, 77.0
38.63, 26.2
48.76, 15.6
56.49, 36.3
60.83, 29.2

Crystal structure
a b c (Å): 9.1104 9.1104 3.7355
angles (deg): 90.00 90.00 120.00
Fractional positions:
Ho 0.3333 0.6667 0.0000
Ho 0.6667 0.3333 0.0000
Er 0.0000 0.2753 0.0000
Er 0.2753 0.0000 0.0000
Er 0.7247 0.7247 0.0000
Tm 0.0000 0.6157 0.5000
Tm 0.3843 0.3843 0.5000
Tm 0.6157 0.0000 0.5000
Te 0.0000 0.0000 0.5000


For SmTmCu2Si2, a cell relaxed with PBE gives the simulated X-ray powder pattern in this record (λ = 1.5418 Å (Cu Kα)).

The 8 most intense peaks (2θ = 10–90°), low angle first:
2θ/deg, I_rel
24.75, 32.0
34.38, 100.0
43.57, 39.4
48.06, 9.4
54.79, 8.2
56.65, 23.6
66.86, 20.6
74.08, 21.1

Crystal structure
a b c (Å): 4.1544 4.1544 7.5732
angles (deg): 90.00 90.00 120.00
Fractional positions:
Sm 0.0000 0.0000 0.0000
Tm 0.0000 0.0000 0.5000
Cu 0.3333 0.6667 0.2646
Cu 0.6667 0.3333 0.7354
Si 0.3333 0.6667 0.7393
Si 0.6667 0.3333 0.2607


For Mg2NbSb3Pt3, a cell relaxed with PBE gives the simulated X-ray powder pattern in this record (λ = 1.5418 Å (Cu Kα)).

The 8 most intense peaks (2θ = 10–90°), low angle first:
2θ/deg, I_rel
24.42, 20.3
24.45, 60.2
40.44, 100.0
47.82, 39.4
58.53, 16.5
73.55, 32.9
78.83, 10.1
87.47, 10.6

Crystal structure
a b c (Å): 7.7253 7.7253 7.7244
angles (deg): 99.61 99.61 119.95
Fractional positions:
Mg 0.0834 0.9166 0.5000
Mg 0.2474 0.7451 0.9997
Mg 0.7451 0.2474 0.4997
Mg 0.9166 0.0834 0.0000
Nb 0.4132 0.5799 0.4994
Nb 0.5799 0.4132 0.9994
Sb 0.1535 0.3282 0.7517
Sb 0.3282 0.1535 0.2517
Sb 0.4987 0.9926 0.7508
Sb 0.6720 0.8412 0.2467
Sb 0.8412 0.6720 0.7467
Sb 0.9926 0.4987 0.2508
Pt 0.0502 0.2176 0.3776
Pt 0.2176 0.0502 0.8776
Pt 0.3743 0.8619 0.3769
Pt 0.5376 0.6904 0.8670
Pt 0.6904 0.5376 0.3670
Pt 0.8619 0.3743 0.8769


For Y2Cu3Mo4N3, a cell relaxed with PBE gives the simulated X-ray powder pattern in this record (λ = 1.5418 Å (Cu Kα)).

The 8 most intense peaks (2θ = 10–90°), low angle first:
2θ/deg, I_rel
32.72, 13.2
33.46, 20.4
35.34, 11.4
38.74, 46.0
38.91, 100.0
41.62, 33.5
58.16, 14.6
60.04, 12.8

Crystal structure
a b c (Å): 5.4737 5.4737 13.3949
angles (deg): 101.71 101.71 60.38
Fractional positions:
Y 0.0394 0.8797 0.6207
Y 0.1203 0.9606 0.8793
Y 0.8797 0.0394 0.1207
Y 0.9606 0.1203 0.3793
Cu 0.0831 0.4047 0.7502
Cu 0.4047 0.0831 0.2502
Cu 0.4322 0.5678 0.2500
Cu 0.5678 0.4322 0.7500
Cu 0.5953 0.9169 0.7498
Cu 0.9169 0.5953 0.2498
Mo 0.1965 0.3637 0.0766
Mo 0.3140 0.4645 0.4236
Mo 0.3637 0.1965 0.5766
Mo 0.4645 0.3140 0.9236
Mo 0.5355 0.6860 0.0764
Mo 0.6363 0.8035 0.4234
Mo 0.6860 0.5355 0.5764
Mo 0.8035 0.6363 0.9234
N 0.0000 0.5000 0.5000
N 0.1559 0.6879 0.9999
N 0.3121 0.8441 0.5001
N 0.5000 0.0000 0.0000
N 0.6879 0.1559 0.4999
N 0.8441 0.3121 0.0001


For Ag3AuSe2, a cell relaxed with PBE gives the simulated X-ray powder pattern in this record (λ = 1.5418 Å (Cu Kα)).

The 8 most intense peaks (2θ = 10–90°), low angle first:
2θ/deg, I_rel
12.48, 35.0
33.42, 100.0
38.06, 19.1
40.20, 31.4
44.23, 28.1
46.14, 24.2
49.79, 26.8
74.48, 23.2

Crystal structure
a b c (Å): 8.6874 8.6874 8.6874
angles (deg): 109.47 109.47 109.47
Fractional positions:
Ag 0.1288 0.7500 0.8788
Ag 0.1288 0.8788 0.2500
Ag 0.2500 0.1288 0.8788
Ag 0.2500 0.6212 0.3712
Ag 0.3712 0.2500 0.6212
Ag 0.3712 0.6212 0.7500
Ag 0.6212 0.3712 0.2500
Ag 0.6212 0.7500 0.3712
Ag 0.7500 0.3712 0.6212
Ag 0.7500 0.8788 0.1288
Ag 0.8788 0.1288 0.7500
Ag 0.8788 0.2500 0.1288
Au 0.0000 0.2500 0.5000
Au 0.2500 0.2500 0.2500
Au 0.2500 0.5000 0.0000
Au 0.5000 0.0000 0.2500
Se 0.0000 0.5389 0.5000
Se 0.0000 0.9611 0.5000
Se 0.5000 0.0000 0.5389
Se 0.5000 0.0000 0.9611
Se 0.5389 0.5000 0.0000
Se 0.5389 0.5389 0.5389
Se 0.9611 0.5000 0.0000
Se 0.9611 0.9611 0.9611


For Ho5Ga2Pb, a cell relaxed with PBE gives the simulated X-ray powder pattern in this record (λ = 1.5418 Å (Cu Kα)).

The 8 most intense peaks (2θ = 10–90°), low angle first:
2θ/deg, I_rel
30.71, 34.1
32.11, 100.0
34.76, 39.4
36.03, 63.2
51.86, 22.7
53.70, 29.5
56.37, 20.9
66.37, 23.8

Crystal structure
a b c (Å): 8.8150 8.8150 8.8150
angles (deg): 126.88 126.88 78.45
Fractional positions:
Ho 0.0000 0.0000 0.0000
Ho 0.0167 0.5167 0.8187
Ho 0.1980 0.0167 0.5000
Ho 0.3020 0.8020 0.8187
Ho 0.4833 0.3020 0.5000
Ho 0.5000 0.5000 0.0000
Ho 0.5167 0.6980 0.5000
Ho 0.6980 0.1980 0.1813
Ho 0.8020 0.9833 0.5000
Ho 0.9833 0.4833 0.1813
Ga 0.1347 0.3653 0.5000
Ga 0.3653 0.8653 0.2306
Ga 0.6347 0.1347 0.7694
Ga 0.8653 0.6347 0.5000
Pb 0.2500 0.2500 0.0000
Pb 0.7500 0.7500 0.0000


For Ho2HfC3, a cell relaxed with PBE gives the simulated X-ray powder pattern in this record (λ = 1.5418 Å (Cu Kα)).

The 8 most intense peaks (2θ = 10–90°), low angle first:
2θ/deg, I_rel
31.29, 34.5
31.75, 100.0
36.70, 87.9
52.57, 30.3
53.17, 30.0
62.46, 15.4
63.00, 29.5
66.34, 15.3

Crystal structure
a b c (Å): 3.4453 3.4453 8.5750
angles (deg): 90.00 90.00 120.00
Fractional positions:
Ho 0.3333 0.6667 0.3269
Ho 0.6667 0.3333 0.6731
Hf 0.0000 0.0000 0.0000
C 0.0000 0.0000 0.5000
C 0.3333 0.6667 0.8541
C 0.6667 0.3333 0.1459


For Sr2TmSb2, a cell relaxed with PBE gives the simulated X-ray powder pattern in this record (λ = 1.5418 Å (Cu Kα)).

The 8 most intense peaks (2θ = 10–90°), low angle first:
2θ/deg, I_rel
14.31, 70.7
25.86, 81.3
28.70, 49.9
30.63, 100.0
31.90, 86.2
33.55, 40.9
37.44, 58.7
37.57, 47.1

Crystal structure
a b c (Å): 9.4963 9.4963 8.3741
angles (deg): 90.00 90.00 150.69
Fractional positions:
Sr 0.0392 0.9608 0.5000
Sr 0.1975 0.8025 0.1544
Sr 0.8025 0.1975 0.6544
Sr 0.9608 0.0392 0.0000
Tm 0.4021 0.5979 0.3479
Tm 0.5979 0.4021 0.8479
Sb 0.1827 0.8173 0.7432
Sb 0.4435 0.5565 0.7011
Sb 0.5565 0.4435 0.2011
Sb 0.8173 0.1827 0.2432


For ZnSiBi2, a cell relaxed with PBE gives the simulated X-ray powder pattern in this record (λ = 1.5418 Å (Cu Kα)).

The 8 most intense peaks (2θ = 10–90°), low angle first:
2θ/deg, I_rel
20.83, 41.8
34.34, 100.0
40.51, 24.5
49.35, 18.2
54.12, 11.0
61.50, 37.9
72.37, 11.9
82.62, 17.1

Crystal structure
a b c (Å): 7.3862 7.3862 7.3862
angles (deg): 90.00 90.00 90.00
Fractional positions:
Zn 0.0000 0.0000 0.0000
Zn 0.0000 0.5000 0.5000
Zn 0.5000 0.0000 0.5000
Zn 0.5000 0.5000 0.0000
Si 0.2500 0.2500 0.7500
Si 0.2500 0.7500 0.2500
Si 0.7500 0.2500 0.2500
Si 0.7500 0.7500 0.7500
Bi 0.0000 0.0000 0.5000
Bi 0.0000 0.5000 0.0000
Bi 0.2500 0.2500 0.2500
Bi 0.2500 0.7500 0.7500
Bi 0.5000 0.0000 0.0000
Bi 0.5000 0.5000 0.5000
Bi 0.7500 0.2500 0.7500
Bi 0.7500 0.7500 0.2500


For GdScFe2Ge2C, a cell relaxed with PBE gives the simulated X-ray powder pattern in this record (λ = 1.5418 Å (Cu Kα)).

The 8 most intense peaks (2θ = 10–90°), low angle first:
2θ/deg, I_rel
34.08, 86.7
34.41, 65.3
35.41, 46.4
36.79, 100.0
37.11, 42.1
39.96, 87.1
42.13, 49.9
46.37, 53.5

Crystal structure
a b c (Å): 10.5507 3.9165 6.6980
angles (deg): 90.00 128.28 90.00
Fractional positions:
Gd 0.0000 0.0000 0.0000
Gd 0.5000 0.5000 0.0000
Sc 0.1132 0.0000 0.5709
Sc 0.6132 0.5000 0.5709
Fe 0.2577 0.5000 0.3830
Fe 0.3630 0.0000 0.2018
Fe 0.7577 0.0000 0.3830
Fe 0.8630 0.5000 0.2018
Ge 0.2182 0.5000 0.9901
Ge 0.3978 0.0000 0.5838
Ge 0.7182 0.0000 0.9901
Ge 0.8978 0.5000 0.5838
C 0.0634 0.5000 0.3045
C 0.5634 0.0000 0.3045